The following is a theoretical powder diffractogram of GaFeAs. It was derived from a cell relaxed with GGA-PBE, using Cu Kα X-rays.
Neutral-atom scattering factors, no anomalous dispersion.

Atomic structure:
abc: 2.9826 5.7346 6.0295
angles: 90.00 90.00 90.00
Element x y z (fractional)
1 Ga 0.0000 0.0267 0.0000
2 Ga 0.5000 0.9733 0.5000
3 Fe 0.0000 0.7208 0.2768
4 Fe 0.5000 0.2792 0.7768
5 As 0.0000 0.4660 0.5618
6 As 0.5000 0.5340 0.0618

Principal peaks in the range 2θ = 10–90°, in order of falling intensity:
37.10 deg, rel. 100, (1 1 1); 43.56 deg, rel. 51, (0 2 2); 21.38 deg, rel. 41, (0 1 1); 57.59 deg, rel. 20, (1 1 3); 59.44 deg, rel. 19, (1 3 1); 45.62 deg, rel. 18, (1 1 2); 46.44 deg, rel. 16, (1 2 1); 79.04 deg, rel. 16, (2 2 2)

The following is a theoretical powder diffractogram of Tm4Al16Co3. It was derived from a cell relaxed with GGA-PBE, using Cu Kα X-rays.
Neutral-atom scattering factors, no anomalous dispersion.

Atomic structure:
abc: 5.9881 5.9881 11.1032
angles: 90.00 90.00 90.00
Element x y z (fractional)
1 Tm 0.0000 0.5000 0.1928
2 Tm 0.0000 0.5000 0.8072
3 Tm 0.5000 0.0000 0.1928
4 Tm 0.5000 0.0000 0.8072
5 Al 0.0000 0.0000 0.1934
6 Al 0.0000 0.0000 0.8066
7 Al 0.2244 0.2244 0.0000
8 Al 0.2244 0.7756 0.0000
9 Al 0.2507 0.2507 0.3839
10 Al 0.2507 0.2507 0.6161
11 Al 0.2507 0.7493 0.3839
12 Al 0.2507 0.7493 0.6161
13 Al 0.5000 0.5000 0.2139
14 Al 0.5000 0.5000 0.7861
15 Al 0.7493 0.2507 0.3839
16 Al 0.7493 0.2507 0.6161
17 Al 0.7493 0.7493 0.3839
18 Al 0.7493 0.7493 0.6161
19 Al 0.7756 0.2244 0.0000
20 Al 0.7756 0.7756 0.0000
21 Co 0.0000 0.5000 0.5000
22 Co 0.5000 0.0000 0.5000
23 Co 0.5000 0.5000 0.0000

Principal peaks in the range 2θ = 10–90°, in order of falling intensity:
38.68 deg, rel. 100, (2 0 3); 20.98 deg, rel. 98, (1 1 0); 32.12 deg, rel. 88, (1 1 3); 42.71 deg, rel. 66, (2 2 0); 29.84 deg, rel. 45, (2 0 0); 34.02 deg, rel. 44, (2 0 2); 54.43 deg, rel. 39, (3 1 3); 75.51 deg, rel. 37, (4 2 3)